Diffraction record for Tm2MnCu12Ni3. The PXRD pattern is simulated, not measured: it uses a cell relaxed with PBE and a wavelength of 1.5418 Å.

The 10 most intense peaks (2θ = 10–80°), in order of rising 2θ:
2θ = 32.26°, intensity 73; 2θ = 34.28°, intensity 44; 2θ = 36.30°, intensity 67; 2θ = 38.65°, intensity 39; 2θ = 40.80°, intensity 42; 2θ = 42.48°, intensity 76; 2θ = 46.12°, intensity 100; 2θ = 48.71°, intensity 23; 2θ = 59.01°, intensity 28; 2θ = 75.12°, intensity 38

Atomic structure:
abc: 12.307 12.307 12.307
angles: 23.72 23.72 23.72
Fractional positions:
Tm 0.144 0.144 0.144
Tm 0.856 0.856 0.856
Mn 0.500 0.500 0.500
Cu 0.107 0.107 0.624
Cu 0.107 0.624 0.107
Cu 0.109 0.609 0.609
Cu 0.376 0.893 0.893
Cu 0.391 0.391 0.891
Cu 0.391 0.891 0.391
Cu 0.609 0.109 0.609
Cu 0.609 0.609 0.109
Cu 0.624 0.107 0.107
Cu 0.891 0.391 0.391
Cu 0.893 0.376 0.893
Cu 0.893 0.893 0.376
Ni 0.000 0.500 0.500
Ni 0.500 0.000 0.500
Ni 0.500 0.500 0.000